Starting from a DFT-relaxed cell (GGA-PBE, the Materials Project), the powder diffraction line list of BaLaI5 was computed for Cu Kα (λ = 1.5418 Å).
Lines closer than 0.1° are merged.

Peak list (12 most intense, 10° ≤ 2θ ≤ 90°, sorted by position)
2θ 13.70, 6.464 Å, intensity 32.2, (0 0 2); 2θ 25.52, 3.490 Å, intensity 80.1, (2 2 -2); 2θ 26.51, 3.363 Å, intensity 72.6, (1 2 2); 2θ 27.33, 3.263 Å, intensity 89.8, (2 2 -3); 2θ 28.89, 3.090 Å, intensity 49.8, (1 1 3); 2θ 29.74, 3.004 Å, intensity 56.6, (1 3 -3); 2θ 30.16, 2.963 Å, intensity 32.4, (3 0 -2); 2θ 30.66, 2.916 Å, intensity 36.4, (2 2 -4); 2θ 31.92, 2.804 Å, intensity 100.0, (0 4 1); 2θ 34.07, 2.631 Å, intensity 46.5, (3 0 0); 2θ 35.58, 2.524 Å, intensity 34.6, (0 1 5); 2θ 44.80, 2.023 Å, intensity 43.2, (3 4 -1)

Atomic structure:
```
BaLaI5
1.0
8.908 0.000 0.000
0.000 11.492 0.000
-6.757 0.000 12.925
Ba La I
4 4 20
Direct
0.132 0.031 0.296
0.132 0.469 0.796
0.868 0.531 0.204
0.868 0.969 0.704
0.495 0.655 0.639
0.495 0.845 0.139
0.505 0.155 0.861
0.505 0.345 0.361
0.122 0.188 0.675
0.122 0.312 0.175
0.148 0.702 0.647
0.148 0.798 0.147
0.261 0.521 0.425
0.261 0.979 0.925
0.453 0.176 0.513
0.453 0.324 0.013
0.481 0.076 0.256
0.481 0.424 0.756
0.519 0.576 0.244
0.519 0.924 0.744
0.547 0.676 0.987
0.547 0.824 0.487
0.739 0.021 0.075
0.739 0.479 0.575
0.852 0.202 0.853
0.852 0.298 0.353
0.878 0.688 0.825
0.878 0.812 0.325
```